This entry pairs a crystal structure of Na2CaVP2O9 with its simulated X-ray diffraction stick pattern. Radiation: Cu Kα (weighted mean of Kα1 and Kα2). Structure: the PBE+U geometry in Alexandria.

Atomic structure:
Cell lengths 10.678, 6.662, 10.169 Å; angles 90.00, 90.00, 90.00 degrees
Atoms (fractional coordinates):
Na (0.216, 0.003, 0.136)
Na (0.216, 0.497, 0.136)
Na (0.284, 0.503, 0.636)
Na (0.284, 0.997, 0.636)
Na (0.716, 0.003, 0.364)
Na (0.716, 0.497, 0.364)
Na (0.784, 0.503, 0.864)
Na (0.784, 0.997, 0.864)
Ca (0.061, 0.250, 0.414)
Ca (0.439, 0.750, 0.914)
Ca (0.561, 0.250, 0.086)
Ca (0.939, 0.750, 0.586)
V (0.033, 0.250, 0.809)
V (0.467, 0.750, 0.309)
V (0.533, 0.250, 0.691)
V (0.967, 0.750, 0.191)
P (0.089, 0.750, 0.865)
P (0.178, 0.750, 0.417)
P (0.322, 0.250, 0.917)
P (0.411, 0.250, 0.365)
P (0.589, 0.750, 0.635)
P (0.678, 0.750, 0.083)
P (0.822, 0.250, 0.583)
P (0.911, 0.250, 0.135)
O (0.012, 0.566, 0.809)
O (0.012, 0.934, 0.809)
O (0.089, 0.750, 0.017)
O (0.111, 0.250, 0.668)
O (0.123, 0.565, 0.487)
O (0.123, 0.935, 0.487)
O (0.144, 0.750, 0.269)
O (0.177, 0.250, 0.935)
O (0.224, 0.750, 0.809)
O (0.276, 0.250, 0.309)
O (0.323, 0.750, 0.435)
O (0.356, 0.250, 0.769)
O (0.377, 0.065, 0.987)
O (0.377, 0.435, 0.987)
O (0.389, 0.750, 0.168)
O (0.411, 0.250, 0.517)
O (0.488, 0.066, 0.309)
O (0.488, 0.434, 0.309)
O (0.512, 0.566, 0.691)
O (0.512, 0.934, 0.691)
O (0.589, 0.750, 0.483)
O (0.611, 0.250, 0.832)
O (0.623, 0.565, 0.013)
O (0.623, 0.935, 0.013)
O (0.644, 0.750, 0.231)
O (0.677, 0.250, 0.565)
O (0.724, 0.750, 0.691)
O (0.776, 0.250, 0.191)
O (0.823, 0.750, 0.065)
O (0.856, 0.250, 0.731)
O (0.877, 0.065, 0.513)
O (0.877, 0.435, 0.513)
O (0.889, 0.750, 0.332)
O (0.911, 0.250, 0.983)
O (0.988, 0.066, 0.191)
O (0.988, 0.434, 0.191)

Largest 10 diffraction maxima, sorted by position, 2θ = 10–90°:
index	2θ/deg	I (rel.)
0 2 0	26.8	69
1 0 3	27.6	58
3 1 1	29.8	36
3 0 2	30.7	53
2 2 0	31.7	21
1 2 2	33.2	100
3 1 2	33.5	33
2 1 3	34.1	43
3 0 5	51.8	23
0 4 0	55.1	27